[1]
For Ac3Tl3TcO8, a DFT-relaxed cell (PBE, Alexandria) gives the simulated PXRD pattern in this record (copper Kα).
Peak positions follow from Bragg's law for the DFT cell and can differ from measured ones.

Peak list (12 most intense, 2θ = 15–90°, sorted by position)
d/Å  intensity
5.362  24
3.249  42
3.050  100
2.681  99
1.941  36
1.854  34
1.666  21
1.610  35
1.584  16
1.525  17
1.222  15
1.178  15

Structure:
abc: 7.7811 7.7811 7.7811
angles: 56.91 56.91 56.91
Sites, in units of the cell vectors:
Ac  0.0000  0.5000  0.5000
Ac  0.5000  0.0000  0.5000
Ac  0.5000  0.5000  0.0000
Tl  0.0000  0.0000  0.5000
Tl  0.0000  0.5000  0.0000
Tl  0.5000  0.0000  0.0000
Tc  0.0000  0.0000  0.0000
O  0.1981  0.1981  0.7703
O  0.1981  0.7703  0.1981
O  0.2297  0.8019  0.8019
O  0.2715  0.2715  0.2715
O  0.7285  0.7285  0.7285
O  0.7703  0.1981  0.1981
O  0.8019  0.2297  0.8019
O  0.8019  0.8019  0.2297


[2]
For AcTl2Tc2O7, a DFT-relaxed cell (PBE, Alexandria) gives the simulated PXRD pattern in this record (copper Kα).
Peak positions follow from Bragg's law for the DFT cell and can differ from measured ones.

Peak list (12 most intense, 2θ = 15–90°, sorted by position)
d/Å  intensity
3.915  11
3.032  100
2.811  45
2.345  13
2.282  10
1.988  22
1.801  21
1.662  36
1.516  13
1.455  9
1.174  9
1.108  9

Structure:
abc: 12.0555 12.0555 12.0555
angles: 161.02 161.02 26.97
Sites, in units of the cell vectors:
Ac  0.0000  0.0000  0.0000
Tl  0.1932  0.1932  0.0000
Tl  0.8068  0.8068  0.0000
Tc  0.4086  0.4086  0.0000
Tc  0.5914  0.5914  0.0000
O  0.0808  0.5808  0.5000
O  0.3289  0.3289  0.0000
O  0.4192  0.9192  0.5000
O  0.5000  0.5000  0.0000
O  0.5808  0.0808  0.5000
O  0.6711  0.6711  0.0000
O  0.9192  0.4192  0.5000


[3]
For Ac2TlTcO6, a DFT-relaxed cell (PBE, Alexandria) gives the simulated PXRD pattern in this record (copper Kα).
Peak positions follow from Bragg's law for the DFT cell and can differ from measured ones.

Peak list (12 most intense, 2θ = 15–90°, sorted by position)
d/Å  intensity
5.787  13
3.337  100
2.890  47
2.586  9
2.361  10
2.044  44
1.743  42
1.669  10
1.326  15
1.292  11
1.180  8
1.112  10

Structure:
abc: 5.7763 5.7763 5.7889
angles: 90.00 90.00 90.00
Sites, in units of the cell vectors:
Ac  0.0000  0.5000  0.0000
Ac  0.5000  0.0000  0.0000
Tl  0.0000  0.0000  0.5304
Tc  0.5000  0.5000  0.6255
O  0.0000  0.0000  0.1028
O  0.2830  0.2830  0.7692
O  0.2830  0.7170  0.7692
O  0.5000  0.5000  0.3189
O  0.7170  0.2830  0.7692
O  0.7170  0.7170  0.7692